Record 1
For CeZnGe2Ru, a GGA-PBE-relaxed structure gives the calculated powder X-ray diffraction pattern in this record (Cu Kα (λ = 1.5418 Å)).
Kinematic intensities with the Lorentz-polarization factor, no thermal factor.

Atomic structure:
```
data_CeZnGe2Ru
_cell_length_a 5.788
_cell_length_b 5.556
_cell_length_c 5.822
_cell_angle_alpha 90.00
_cell_angle_beta 90.00
_cell_angle_gamma 90.00
_space_group_name_H-M_alt 'P m m a'
_space_group_IT_number 51
_space_group_name_Hall '-P 2a 2a'
loop_
_atom_site_label
_atom_site_fract_x
_atom_site_fract_y
_atom_site_fract_z
Ce1 0.250 0.000 0.217
Zn1 0.250 0.500 0.379
Ge1 0.250 0.236 0.740
Ru1 0.000 0.500 0.000
```

Main lines, low angle first (10° ≤ 2θ ≤ 90°):
Position (°2θ)	I/Imax	hkl
15.22	12	0 0 1
27.01	13	1 1 1
30.71	13	0 0 2
30.90	29	2 0 0
34.79	38	0 1 2
34.96	21	2 1 0
38.21	16	1 1 2
38.33	32	2 1 1
39.16	100	1 2 1
44.13	45	2 0 2
60.56	27	3 2 1
84.17	13	2 4 2


Record 2
For CeGeS, a GGA-PBE-relaxed structure gives the calculated powder X-ray diffraction pattern in this record (Cu Kα (λ = 1.5418 Å)).
Kinematic intensities with the Lorentz-polarization factor, no thermal factor.

Atomic structure:
```
data_CeGeS
_cell_length_a 3.915
_cell_length_b 3.915
_cell_length_c 16.806
_cell_angle_alpha 90.00
_cell_angle_beta 90.00
_cell_angle_gamma 90.00
_space_group_name_H-M_alt 'I 4/m m m'
_space_group_IT_number 139
_space_group_name_Hall '-I 4 2'
loop_
_atom_site_label
_atom_site_fract_x
_atom_site_fract_y
_atom_site_fract_z
Ce1 0.000 0.000 0.146
Ge1 0.000 0.500 0.000
S1 0.000 0.000 0.317
```

Main lines, low angle first (10° ≤ 2θ ≤ 90°):
Position (°2θ)	I/Imax	hkl
23.33	48	1 0 1
27.80	56	1 0 3
31.95	43	0 0 6
32.34	20	1 1 0
34.10	64	1 1 2
38.96	100	1 1 4
44.25	36	1 0 7
46.38	46	2 0 0
57.43	31	2 0 6
64.91	21	1 1 10
66.04	22	2 1 7
80.95	23	3 1 4


Record 3
For Ce6Ge3S14, a GGA-PBE-relaxed structure gives the calculated powder X-ray diffraction pattern in this record (Cu Kα (λ = 1.5418 Å)).
Kinematic intensities with the Lorentz-polarization factor, no thermal factor.

Atomic structure:
```
data_Ce6Ge3S14
_cell_length_a 10.2496
_cell_length_b 10.2496
_cell_length_c 5.8089
_cell_angle_alpha 90.00
_cell_angle_beta 90.00
_cell_angle_gamma 120.00
_space_group_name_H-M_alt 'P 3'
_space_group_IT_number 143
_space_group_name_Hall 'P 3'
loop_
_atom_site_label
_atom_site_fract_x
_atom_site_fract_y
_atom_site_fract_z
Ce1 0.0261 0.4605 0.0000
Ce2 0.3095 0.2071 0.4897
Ge1 0.0000 0.0000 0.0720
Ge2 0.3333 0.6667 0.5820
Ge3 0.6667 0.3333 0.7312
S1 0.0000 0.0000 0.6919
S2 0.0809 0.2294 0.2295
S3 0.1843 0.7473 0.7365
S4 0.3333 0.6667 0.2012
S5 0.4133 0.2423 0.9726
S6 0.4992 0.0755 0.4809
```

Main lines, low angle first (10° ≤ 2θ ≤ 90°):
Position (°2θ)	I/Imax	hkl
20.01	27	2 0 0
23.14	34	2 -1 1
25.25	100	2 0 1
26.57	23	2 1 0
30.78	27	0 0 2
35.02	40	2 2 0
36.50	38	3 1 0
36.99	38	0 2 2
39.77	34	1 3 1
41.11	27	2 1 2
47.30	24	4 -2 2
49.61	22	4 1 1


Record 4
For Ce5GeS4, a GGA-PBE-relaxed structure gives the calculated powder X-ray diffraction pattern in this record (Cu Kα (λ = 1.5418 Å)).
Kinematic intensities with the Lorentz-polarization factor, no thermal factor.

Atomic structure:
```
data_Ce5GeS4
_cell_length_a 4.069
_cell_length_b 4.069
_cell_length_c 28.780
_cell_angle_alpha 90.00
_cell_angle_beta 90.00
_cell_angle_gamma 90.00
_space_group_name_H-M_alt 'I 4/m m m'
_space_group_IT_number 139
_space_group_name_Hall '-I 4 2'
loop_
_atom_site_label
_atom_site_fract_x
_atom_site_fract_y
_atom_site_fract_z
Ce1 0.000 0.000 0.000
Ce2 0.000 0.000 0.200
Ce3 0.000 0.000 0.398
Ge1 0.000 0.000 0.500
S1 0.000 0.000 0.101
S2 0.000 0.000 0.299
```

Main lines, low angle first (10° ≤ 2θ ≤ 90°):
Position (°2θ)	I/Imax	hkl
22.06	1	1 0 1
26.83	55	1 0 5
30.92	1	1 0 7
31.08	100	1 1 0
44.53	72	2 0 0
52.75	27	2 1 5
55.29	25	2 0 10
64.80	12	2 2 0
71.45	11	3 0 5
73.61	32	3 1 0
82.03	24	3 1 10
88.22	8	3 2 5


Record 5
For Ce4Ge3S12, a GGA-PBE-relaxed structure gives the calculated powder X-ray diffraction pattern in this record (Cu Kα (λ = 1.5418 Å)).
Kinematic intensities with the Lorentz-polarization factor, no thermal factor.

Atomic structure:
```
data_Ce4Ge3S12
_cell_length_a 19.5155
_cell_length_b 19.5155
_cell_length_c 8.0083
_cell_angle_alpha 90.00
_cell_angle_beta 90.00
_cell_angle_gamma 120.00
_space_group_name_H-M_alt 'R 3 c'
_space_group_IT_number 161
_space_group_name_Hall 'R 3 -2"c'
loop_
_atom_site_label
_atom_site_fract_x
_atom_site_fract_y
_atom_site_fract_z
Ce1 0.0000 0.0000 0.0000
Ce2 0.0059 0.2341 0.2132
Ge1 0.1465 0.4674 0.3283
S1 0.0622 0.3924 0.5304
S2 0.0880 0.2019 0.5027
S3 0.1228 0.0597 0.2504
S4 0.1524 0.3789 0.1625
```

Main lines, low angle first (10° ≤ 2θ ≤ 90°):
Position (°2θ)	I/Imax	hkl
17.76	25	2 1 1
24.13	100	4 1 0
25.52	21	3 2 1
26.27	43	1 2 2
32.13	42	2 3 2
34.73	30	5 0 2
34.84	19	1 1 3
35.97	21	4 2 2
36.63	23	1 6 1
36.85	28	4 4 0
41.68	19	6 1 2
47.84	22	5 2 3


Record 6
For Ce4GeSe2S, a GGA-PBE-relaxed structure gives the calculated powder X-ray diffraction pattern in this record (Cu Kα (λ = 1.5418 Å)).
Kinematic intensities with the Lorentz-polarization factor, no thermal factor.

Atomic structure:
```
data_Ce4GeSe2S
_cell_length_a 8.320
_cell_length_b 11.800
_cell_length_c 8.370
_cell_angle_alpha 90.00
_cell_angle_beta 90.00
_cell_angle_gamma 90.00
_space_group_name_H-M_alt 'I m a 2'
_space_group_IT_number 46
_space_group_name_Hall 'I 2 -2a'
loop_
_atom_site_label
_atom_site_fract_x
_atom_site_fract_y
_atom_site_fract_z
Ce1 0.002 0.246 0.000
Ce2 0.250 0.001 0.240
Ce3 0.250 0.002 0.759
Ge1 0.250 0.250 0.250
Se1 0.000 0.000 0.500
Se2 0.250 0.750 0.250
S1 0.000 0.000 0.000
```

Main lines, low angle first (10° ≤ 2θ ≤ 90°):
Position (°2θ)	I/Imax	hkl
26.11	12	0 2 2
26.21	12	2 2 0
30.30	100	2 0 2
43.24	12	0 0 4
43.38	49	2 4 2
43.51	12	4 0 0
53.71	13	0 4 4
53.94	13	4 4 0
63.02	12	4 0 4
71.51	22	4 4 4
79.44	12	0 8 4
79.75	12	6 4 2


Record 7
For Ce4GeTe2S, a GGA-PBE-relaxed structure gives the calculated powder X-ray diffraction pattern in this record (Cu Kα (λ = 1.5418 Å)).
Kinematic intensities with the Lorentz-polarization factor, no thermal factor.

Atomic structure:
```
data_Ce4GeTe2S
_cell_length_a 8.607
_cell_length_b 8.664
_cell_length_c 12.215
_cell_angle_alpha 90.00
_cell_angle_beta 90.00
_cell_angle_gamma 90.00
_space_group_name_H-M_alt 'I m m a'
_space_group_IT_number 74
_space_group_name_Hall '-I 2b 2'
loop_
_atom_site_label
_atom_site_fract_x
_atom_site_fract_y
_atom_site_fract_z
Ce1 0.000 0.024 0.242
Ce2 0.235 0.250 0.011
Ge1 0.000 0.000 0.000
Te1 0.000 0.000 0.500
Te2 0.250 0.250 0.750
S1 0.250 0.250 0.250
```

Main lines, low angle first (10° ≤ 2θ ≤ 90°):
Position (°2θ)	I/Imax	hkl
24.18	6	2 1 1
29.25	100	0 0 4
31.98	5	2 1 3
41.70	12	0 4 0
41.84	48	2 2 4
41.99	12	4 0 0
51.74	12	0 4 4
51.99	13	4 0 4
60.66	11	0 0 8
68.74	19	2 2 8
76.24	10	0 4 8
76.61	7	6 2 4


Record 8
For Ce7Ge3Sb, a GGA-PBE-relaxed structure gives the calculated powder X-ray diffraction pattern in this record (Cu Kα (λ = 1.5418 Å)).
Kinematic intensities with the Lorentz-polarization factor, no thermal factor.

Atomic structure:
```
data_Ce7Ge3Sb
_cell_length_a 5.875
_cell_length_b 8.990
_cell_length_c 11.422
_cell_angle_alpha 90.00
_cell_angle_beta 90.00
_cell_angle_gamma 90.00
_space_group_name_H-M_alt 'I m m m'
_space_group_IT_number 71
_space_group_name_Hall '-I 2 2'
loop_
_atom_site_label
_atom_site_fract_x
_atom_site_fract_y
_atom_site_fract_z
Ce1 0.000 0.000 0.000
Ce2 0.000 0.150 0.500
Ce3 0.000 0.350 0.236
Ge1 0.000 0.000 0.263
Ge2 0.000 0.500 0.000
Sb1 0.000 0.500 0.500
```

Main lines, low angle first (10° ≤ 2θ ≤ 90°):
Position (°2θ)	I/Imax	hkl
23.88	25	1 1 2
30.43	76	2 0 0
30.85	20	0 3 1
31.33	66	0 0 4
37.18	100	1 3 2
43.87	20	2 3 1
44.23	51	2 0 4
49.60	15	1 4 3
50.24	12	0 3 5
58.58	26	3 3 2
59.66	21	1 3 6
79.22	14	2 6 4


Record 9
For Ce5Ge4Se, a GGA-PBE-relaxed structure gives the calculated powder X-ray diffraction pattern in this record (Cu Kα (λ = 1.5418 Å)).
Kinematic intensities with the Lorentz-polarization factor, no thermal factor.

Atomic structure:
```
data_Ce5Ge4Se
_cell_length_a 4.237
_cell_length_b 5.978
_cell_length_c 21.156
_cell_angle_alpha 90.00
_cell_angle_beta 90.00
_cell_angle_gamma 90.00
_space_group_name_H-M_alt 'I m m m'
_space_group_IT_number 71
_space_group_name_Hall '-I 2 2'
loop_
_atom_site_label
_atom_site_fract_x
_atom_site_fract_y
_atom_site_fract_z
Ce1 0.000 0.000 0.000
Ce2 0.000 0.000 0.200
Ce3 0.000 0.000 0.399
Ge1 0.000 0.500 0.200
Ge2 0.000 0.500 0.401
Se1 0.000 0.500 0.000
```

Main lines, low angle first (10° ≤ 2θ ≤ 90°):
Position (°2θ)	I/Imax	hkl
25.78	16	1 1 0
29.86	100	1 0 5
42.74	75	2 0 0
50.59	8	2 1 5
53.01	26	2 2 0
62.00	8	2 0 10
62.10	4	0 4 0
68.30	2	3 1 0
70.32	22	3 0 5
70.41	11	1 4 5
78.25	21	3 2 5
78.33	4	0 4 10


Record 10
For CeGe2Se4, a GGA-PBE-relaxed structure gives the calculated powder X-ray diffraction pattern in this record (Cu Kα (λ = 1.5418 Å)).
Kinematic intensities with the Lorentz-polarization factor, no thermal factor.

Atomic structure:
```
data_CeGe2Se4
_cell_length_a 7.751
_cell_length_b 7.751
_cell_length_c 6.766
_cell_angle_alpha 90.00
_cell_angle_beta 90.00
_cell_angle_gamma 90.00
_space_group_name_H-M_alt 'I 4/m'
_space_group_IT_number 87
_space_group_name_Hall '-I 4'
loop_
_atom_site_label
_atom_site_fract_x
_atom_site_fract_y
_atom_site_fract_z
Ce1 0.000 0.000 0.000
Ge1 0.000 0.500 0.250
Se1 0.177 0.695 0.500
```

Main lines, low angle first (10° ≤ 2θ ≤ 90°):
Position (°2θ)	I/Imax	hkl
17.40	37	1 0 1
26.34	22	0 0 2
28.94	100	1 2 1
31.07	35	1 1 2
32.68	50	2 2 0
35.21	23	2 0 2
45.71	67	3 1 2
48.13	24	1 2 3
50.38	28	4 1 1
64.53	13	4 1 3
64.77	14	2 2 4
77.09	26	5 3 2


Record 11
For Ce10Ge3Se3, a GGA-PBE-relaxed structure gives the calculated powder X-ray diffraction pattern in this record (Cu Kα (λ = 1.5418 Å)).
Kinematic intensities with the Lorentz-polarization factor, no thermal factor.

Atomic structure:
```
data_Ce10Ge3Se3
_cell_length_a 8.8380
_cell_length_b 8.8380
_cell_length_c 6.1099
_cell_angle_alpha 90.00
_cell_angle_beta 90.00
_cell_angle_gamma 120.00
_space_group_name_H-M_alt 'P -6 2 m'
_space_group_IT_number 189
_space_group_name_Hall 'P -6 -2'
loop_
_atom_site_label
_atom_site_fract_x
_atom_site_fract_y
_atom_site_fract_z
Ce1 0.0000 0.2664 0.0000
Ce2 0.0000 0.7330 0.5000
Ce3 0.3333 0.6667 0.2458
Ge1 0.0000 0.6222 0.0000
Se1 0.0000 0.3757 0.5000
```

Main lines, low angle first (10° ≤ 2θ ≤ 90°):
Position (°2θ)	I/Imax	hkl
23.24	18	2 0 0
30.91	30	2 1 0
31.53	21	1 0 2
34.30	76	2 1 1
35.18	81	3 0 0
35.73	100	1 1 2
51.01	29	2 2 2
54.36	19	3 2 1
55.15	19	2 1 3
56.77	18	4 0 2
70.17	16	5 1 1
72.06	20	3 0 4


Record 12
For Ce4Si2Ge, a GGA-PBE-relaxed structure gives the calculated powder X-ray diffraction pattern in this record (Cu Kα (λ = 1.5418 Å)).
Kinematic intensities with the Lorentz-polarization factor, no thermal factor.

Atomic structure:
```
data_Ce4Si2Ge
_cell_length_a 4.2779
_cell_length_b 4.2779
_cell_length_c 34.2722
_cell_angle_alpha 90.00
_cell_angle_beta 90.00
_cell_angle_gamma 120.00
_space_group_name_H-M_alt 'R -3 m'
_space_group_IT_number 166
_space_group_name_Hall '-R 3 2"'
loop_
_atom_site_label
_atom_site_fract_x
_atom_site_fract_y
_atom_site_fract_z
Ce1 0.0000 0.0000 0.1170
Ce2 0.0000 0.0000 0.3102
Si1 0.0000 0.0000 0.4022
Ge1 0.0000 0.0000 0.5000
```

Main lines, low angle first (10° ≤ 2θ ≤ 90°):
Position (°2θ)	I/Imax	hkl
26.21	21	1 0 4
27.36	100	0 1 5
30.25	11	1 0 7
35.69	44	1 0 10
37.73	29	0 1 11
42.25	54	1 1 0
49.13	18	1 0 16
51.08	18	2 0 5
56.43	19	0 0 21
68.38	15	1 2 5
72.93	31	1 1 21
77.26	9	3 0 0